Structure and computed XRD peak list of VBiPbO5 (a structure optimized by DFT (GGA+U); a wavelength of 1.5418 Å).
Lines closer than 0.1° are merged.

Cell and atoms:
```
16
Lattice="6.0737 0.0000 0.0000 -1.3674 7.1383 0.0000 -2.6266 -2.3218 6.3936" Properties=species:S:1:pos:R:3 pbc="T T T"
V -0.0564 0.2379 2.4109
V 2.1361 4.5786 3.9827
Bi -0.4364 -0.4725 6.1452
Bi 2.5162 5.2890 0.2484
Pb -0.7483 3.6112 2.0834
Pb 2.8280 1.2053 4.3102
O -2.4252 3.7396 3.9293
O -1.5691 5.9325 1.4036
O -1.5838 1.3331 6.0351
O 1.1187 1.3880 1.8157
O 0.4591 -0.1978 4.0191
O 1.6207 5.0143 2.3745
O 0.9610 3.4285 4.5779
O 3.6636 3.4834 0.3585
O 3.6489 -1.1160 4.9900
O 4.5050 1.0769 2.4643
```

Most intense lines, 15 to 90 degrees two-theta, by angle:
2θ 21.3, intensity 30.0, (1 1 -1)
2θ 24.1, intensity 45.0, (1 -1 1)
2θ 25.6, intensity 100.0, (1 0 -2)
2θ 25.8, intensity 68.2, (1 0 1)
2θ 26.7, intensity 70.8, (1 -2 0)
2θ 30.0, intensity 36.2, (2 0 -1)
2θ 31.4, intensity 41.5, (0 2 -2)
2θ 31.6, intensity 48.2, (1 2 -1)
2θ 34.2, intensity 26.1, (0 2 1)
2θ 39.6, intensity 24.4, (2 1 0)
2θ 42.4, intensity 22.4, (0 0 3)
2θ 52.6, intensity 27.9, (2 0 -4)